Starting from a GGA+U-relaxed structure, the powder X-ray diffraction pattern of Fe2CoAs2H10O14 was calculated for Cu Ka.
Peak positions follow from Bragg's law for the DFT cell and can differ from measured ones.

Crystal structure
a b c (Å): 10.4647 9.6703 5.6386
angles (deg): 90.00 93.93 90.00
Space group P2_1/c (No. 14)
Inequivalent atoms, fractional coordinates:
Fe1 0.0498 0.1356 0.1633 [4 per cell]
Co1 0.5000 0.0000 0.5000 [2 per cell]
As1 0.2065 0.0684 0.6740 [4 per cell]
H1 0.0813 0.6574 0.9801 [4 per cell]
H2 0.2866 0.5799 0.7611 [4 per cell]
H3 0.3727 0.2150 0.2914 [4 per cell]
H4 0.3740 0.5522 0.5479 [4 per cell]
H5 0.4788 0.7439 0.6750 [4 per cell]
O1 0.0333 0.7273 0.0676 [4 per cell]
O2 0.0996 0.0130 0.8811 [4 per cell]
O3 0.1505 0.0044 0.3978 [4 per cell]
O4 0.2100 0.2465 0.6836 [4 per cell]
O5 0.3539 0.0009 0.7469 [4 per cell]
O6 0.3752 0.5916 0.7125 [4 per cell]
O7 0.4551 0.1935 0.3813 [4 per cell]

Top 6 peaks for 15 to 90 degrees two-theta, sorted by position:
2θ (°), I/Imax, index
18.2, 37, 0 1 1
18.3, 56, 0 2 0
20.6, 100, 1 1 1
29.1, 30, 2 2 -1
30.4, 56, 2 2 1
30.7, 96, 3 1 -1